This entry pairs a crystal structure of LaP5 with its computed X-ray powder pattern. Radiation: Cu Ka. Structure: a structure optimized by DFT (PBE).

```
data_LaP5
_symmetry_space_group_name_H-M 'P 1 21/m 1'
_symmetry_Int_Tables_number 11
_symmetry_space_group_name_Hall '-P 2yb'
_cell_length_a 5.6431
_cell_length_b 9.7341
_cell_length_c 9.6730
_cell_angle_alpha 90.00
_cell_angle_beta 106.72
_cell_angle_gamma 90.00
loop_
_atom_site_label
_atom_site_type_symbol
_atom_site_fract_x
_atom_site_fract_y
_atom_site_fract_z
La1 La 0.0927 0.2500 0.4516
La2 La 0.1278 0.2500 0.9780
P1 P 0.0910 0.5451 0.8418
P2 P 0.1352 0.5490 0.3636
P3 P 0.4241 0.7500 0.1365
P4 P 0.4547 0.5860 0.8108
P5 P 0.4548 0.7500 0.6504
P6 P 0.4804 0.5955 0.3124
```

Principal peaks in the range 5 to 70 degrees two-theta, low angle first:
2θ (°)	Rel. int.	h k l
18.23	42	0 2 0
23.26	88	1 1 -2
26.57	100	0 2 2
28.23	44	1 2 -2
28.77	75	1 0 2
32.18	39	1 3 0
33.73	75	0 3 2
34.44	52	2 1 0
43.58	41	2 3 0
43.65	46	2 3 -2